TiInCu: computed X-ray powder pattern (Cu Kα (λ = 1.5418 Å)), based on DFT lattice parameters and positions (GGA-PBE).
Kinematic intensities with the Lorentz-polarization factor, no thermal factor.

Crystal structure
Lattice parameters (Å, degrees): 4.083 12.029 4.168 90.00 90.00 90.00
Space group Cmmm (No. 65)
Asymmetric unit:
Ti (0.000, 0.163, 0.000)
In (0.000, 0.349, 0.500)
Cu (0.000, 0.000, 0.500)
Cu (0.000, 0.500, 0.000)

The 12 most intense peaks (10 to 80 degrees two-theta), low angle first:
2θ 21.32, d 4.168, I 10, hkl 0 0 1; 2θ 31.26, d 2.861, I 7, hkl 1 3 0; 2θ 38.15, d 2.359, I 100, hkl 1 3 1; 2θ 43.42, d 2.084, I 18, hkl 0 0 2; 2θ 44.37, d 2.042, I 17, hkl 2 0 0; 2θ 45.23, d 2.005, I 13, hkl 0 6 0; 2θ 63.82, d 1.458, I 11, hkl 2 0 2; 2θ 64.49, d 1.445, I 9, hkl 0 6 2; 2θ 65.22, d 1.430, I 8, hkl 2 6 0; 2θ 76.17, d 1.250, I 12, hkl 1 3 3; 2θ 77.52, d 1.231, I 11, hkl 3 3 1; 2θ 78.76, d 1.215, I 7, hkl 1 9 1